[1]
# CaBe17Pd
Simulated X-ray powder pattern, Cu Kα (λ = 1.5418 Å). Input: the PBE geometry in Alexandria.

Principal peaks in the range 2θ from 10° to 80°, in order of rising 2θ:
d 5.610, 15.8 deg, I 100, hkl 1 0 1; d 4.193, 21.2 deg, I 56, hkl 0 1 2; d 3.774, 23.6 deg, I 93, hkl 1 1 0; d 3.644, 24.4 deg, I 30, hkl 0 0 3; d 3.131, 28.5 deg, I 31, hkl 0 2 1; d 2.621, 34.2 deg, I 99, hkl 1 1 3; d 2.410, 37.3 deg, I 31, hkl 2 1 1; d 2.179, 41.4 deg, I 39, hkl 3 0 0; d 1.887, 48.2 deg, I 33, hkl 2 2 0; d 1.870, 48.7 deg, I 59, hkl 3 0 3

Structural model:
Cell: 7.5472 7.5472 10.9328 Å, 90.00 90.00 120.00°
Space group R3m (No. 160, hexagonal axes)
Inequivalent atoms, fractional coordinates:
Ca1 0.0000 0.0000 0.0000 x3
Be1 0.0000 0.0000 0.5563 x3
Be2 0.0000 0.0000 0.7496 x3
Be3 0.0458 0.3730 0.3200 x18
Be4 0.1692 0.3383 0.8316 x9
Be5 0.1723 0.3447 0.4896 x9
Be6 0.1766 0.3532 0.1389 x9
Pd1 0.0000 0.0000 0.3296 x3



[2]
# RbCaBeSiPdSe
Simulated X-ray powder pattern, Cu Kα (λ = 1.5418 Å). Input: the PBE geometry in Alexandria.

Principal peaks in the range 2θ from 10° to 80°, in order of rising 2θ:
d 4.986, 17.8 deg, I 20, hkl 0 0 2; d 3.408, 26.1 deg, I 100, hkl 1 1 1; d 3.324, 26.8 deg, I 29, hkl 0 0 3; d 2.942, 30.4 deg, I 34, hkl 1 1 -2; d 2.928, 30.5 deg, I 18, hkl 1 1 2; d 2.458, 36.6 deg, I 17, hkl 1 1 -3; d 2.098, 43.1 deg, I 17, hkl 0 2 0; d 2.091, 43.3 deg, I 34, hkl 3 1 0; d 2.060, 43.9 deg, I 13, hkl 1 1 -4; d 1.776, 51.5 deg, I 23, hkl 4 0 1

Structural model:
Cell: 7.2369 4.1966 9.9719 Å, 90.00 90.57 90.00°
Space group Cm (No. 8)
Inequivalent atoms, fractional coordinates:
Rb1 0.0000 0.0000 0.0000 x2
Ca1 0.3374 0.0000 0.3782 x2
Be1 0.9998 0.0000 0.6616 x2
Si1 0.1659 0.5000 0.6733 x2
Pd1 0.3333 0.0000 0.6751 x2
Se1 0.1697 0.5000 0.2345 x2



[3]
# RbCaBeSiPdSe
Simulated X-ray powder pattern, Cu Kα (λ = 1.5418 Å). Input: the PBE geometry in Alexandria.

Principal peaks in the range 2θ from 10° to 80°, in order of rising 2θ:
d 5.032, 17.6 deg, I 38, hkl 0 0 2; d 3.524, 25.3 deg, I 52, hkl 2 0 0; d 3.488, 25.5 deg, I 85, hkl 1 1 -1; d 3.354, 26.6 deg, I 58, hkl 0 0 3; d 3.067, 29.1 deg, I 46, hkl 1 1 -2; d 2.791, 32.1 deg, I 100, hkl 1 1 2; d 2.708, 33.1 deg, I 50, hkl 2 0 -3; d 2.082, 43.5 deg, I 32, hkl 0 2 0; d 2.075, 43.6 deg, I 59, hkl 3 1 -1; d 1.792, 51.0 deg, I 32, hkl 3 1 2

Structural model:
Cell: 7.1866 4.1635 10.2613 Å, 90.00 101.27 90.00°
Space group Cm (No. 8)
Inequivalent atoms, fractional coordinates:
Rb1 0.0000 0.0000 0.0000 x2
Ca1 0.1062 0.0000 0.3821 x2
Be1 0.1900 0.0000 0.6790 x2
Si1 0.3472 0.5000 0.6483 x2
Pd1 0.0168 0.5000 0.6558 x2
Se1 0.3983 0.0000 0.2328 x2



[4]
# RbCaBeSiPdSe
Simulated X-ray powder pattern, Cu Kα (λ = 1.5418 Å). Input: the PBE geometry in Alexandria.

Principal peaks in the range 2θ from 10° to 80°, in order of rising 2θ:
d 4.946, 17.9 deg, I 26, hkl 0 0 2; d 3.609, 24.7 deg, I 25, hkl 0 1 -1; d 3.531, 25.2 deg, I 33, hkl 0 1 0; d 3.297, 27.0 deg, I 40, hkl 0 0 3; d 3.265, 27.3 deg, I 100, hkl -1 1 1; d 3.100, 28.8 deg, I 46, hkl 1 -1 2; d 2.760, 32.4 deg, I 46, hkl 0 1 -3; d 2.166, 41.7 deg, I 44, hkl 0 1 3; d 2.099, 43.1 deg, I 72, hkl 2 -1 0; d 1.771, 51.6 deg, I 37, hkl -1 2 2

Structural model:
Cell: 4.1978 4.1979 10.1799 Å, 101.82 90.00 119.99°
Space group P1 (No. 1)
Inequivalent atoms, fractional coordinates:
Rb1 0.0000 0.0000 0.0000 x1
Ca1 0.4587 0.9177 0.3795 x1
Be1 0.8868 0.7692 0.6600 x1
Si1 0.2241 0.4440 0.6718 x1
Pd1 0.5589 0.1134 0.6760 x1
Se1 0.7445 0.4892 0.2358 x1



[5]
# Ca2BePt3
Simulated X-ray powder pattern, Cu Kα (λ = 1.5418 Å). Input: the PBE geometry in Alexandria.

Principal peaks in the range 2θ from 10° to 80°, in order of rising 2θ:
d 4.466, 19.9 deg, I 24, hkl 1 0 1; d 3.938, 22.6 deg, I 81, hkl 0 0 3; d 3.736, 23.8 deg, I 29, hkl 0 1 2; d 2.519, 35.6 deg, I 22, hkl 1 0 4; d 2.363, 38.1 deg, I 100, hkl 0 2 1; d 2.274, 39.6 deg, I 30, hkl 1 1 3; d 2.233, 40.4 deg, I 73, hkl 2 0 2; d 1.868, 48.7 deg, I 32, hkl 0 2 4; d 1.688, 54.4 deg, I 24, hkl 2 0 5; d 1.313, 71.9 deg, I 27, hkl 0 0 9

Structural model:
Cell: 5.5696 5.5696 11.8138 Å, 90.00 90.00 120.00°
Space group R-3m (No. 166, hexagonal axes)
Inequivalent atoms, fractional coordinates:
Ca1 0.0000 0.0000 0.1258 x6
Be1 0.0000 0.0000 0.5000 x3
Pt1 0.0000 0.5000 0.0000 x9



[6]
# CaBePt3
Simulated X-ray powder pattern, Cu Kα (λ = 1.5418 Å). Input: the PBE geometry in Alexandria.

Principal peaks in the range 2θ from 10° to 80°, in order of rising 2θ:
d 5.203, 17.0 deg, I 30, hkl 0 0 1; d 4.038, 22.0 deg, I 13, hkl 1 0 0; d 3.190, 28.0 deg, I 16, hkl 1 0 1; d 2.601, 34.5 deg, I 16, hkl 0 0 2; d 2.503, 35.9 deg, I 100, hkl 1 1 1; d 2.019, 44.9 deg, I 32, hkl 2 0 0; d 1.923, 47.3 deg, I 25, hkl 1 1 2; d 1.595, 57.8 deg, I 19, hkl 2 0 2; d 1.316, 71.7 deg, I 11, hkl 2 0 3; d 1.240, 76.9 deg, I 22, hkl 3 1 1

Structural model:
Cell: 4.0385 4.0385 5.2027 Å, 90.00 90.00 90.00°
Space group P4mm (No. 99)
Inequivalent atoms, fractional coordinates:
Ca1 0.0000 0.0000 0.0000 x1
Be1 0.5000 0.5000 0.2646 x1
Pt1 0.0000 0.5000 0.4792 x2
Pt2 0.5000 0.5000 0.8446 x1



[7]
# CaBePt3
Simulated X-ray powder pattern, Cu Kα (λ = 1.5418 Å). Input: the PBE geometry in Alexandria.

Principal peaks in the range 2θ from 10° to 80°, in order of rising 2θ:
d 3.515, 25.3 deg, I 21, hkl 0 1 1; d 3.455, 25.8 deg, I 100, hkl 1 0 0; d 2.768, 32.3 deg, I 22, hkl 1 0 1; d 2.464, 36.5 deg, I 40, hkl 1 1 1; d 2.333, 38.6 deg, I 95, hkl 0 2 1; d 2.314, 38.9 deg, I 47, hkl 0 0 2; d 1.934, 47.0 deg, I 85, hkl 1 2 1; d 1.923, 47.3 deg, I 42, hkl 1 0 2; d 1.388, 67.5 deg, I 37, hkl 2 2 1; d 1.249, 76.2 deg, I 20, hkl 1 2 3

Structural model:
Cell: 3.4546 5.4039 4.6280 Å, 90.00 90.00 90.00°
Space group Pmm2 (No. 25)
Inequivalent atoms, fractional coordinates:
Ca1 0.0000 0.0000 0.0000 x1
Be1 0.0000 0.5000 0.3466 x1
Pt1 0.5000 0.2413 0.4988 x2
Pt2 0.5000 0.5000 0.9943 x1



[8]
# RbCaBeS2
Simulated X-ray powder pattern, Cu Kα (λ = 1.5418 Å). Input: the PBE geometry in Alexandria.

Principal peaks in the range 2θ from 10° to 80°, in order of rising 2θ:
d 4.073, 21.8 deg, I 27, hkl 0 1 1; d 3.870, 23.0 deg, I 25, hkl 1 0 -2; d 3.425, 26.0 deg, I 100, hkl 1 1 1; d 3.034, 29.4 deg, I 39, hkl 2 0 -2; d 2.880, 31.0 deg, I 41, hkl 2 1 -1; d 2.488, 36.1 deg, I 30, hkl 2 0 2; d 2.344, 38.4 deg, I 23, hkl 1 1 -3; d 2.334, 38.6 deg, I 21, hkl 0 1 3; d 2.204, 41.0 deg, I 21, hkl 3 1 -1; d 2.015, 45.0 deg, I 22, hkl 1 2 -2

Structural model:
Cell: 7.5251 4.7204 8.2167 Å, 90.00 101.33 90.00°
Space group P2/c (No. 13)
Inequivalent atoms, fractional coordinates:
Rb1 0.0000 0.2120 0.2500 x2
Ca1 0.5000 0.4889 0.7500 x2
Be1 0.5000 0.0000 0.0000 x2
S1 0.2918 0.2592 0.9654 x4



[9]
# CaBeRe2
Simulated X-ray powder pattern, Cu Kα (λ = 1.5418 Å). Input: the PBE geometry in Alexandria.

Principal peaks in the range 2θ from 10° to 80°, in order of rising 2θ:
d 5.577, 15.9 deg, I 100, hkl 0 0 2; d 2.788, 32.1 deg, I 23, hkl 0 0 4; d 2.412, 37.3 deg, I 71, hkl 1 1 1; d 2.380, 37.8 deg, I 10, hkl 0 1 3; d 2.305, 39.1 deg, I 11, hkl 1 0 4; d 2.058, 44.0 deg, I 37, hkl 1 1 3; d 2.049, 44.2 deg, I 14, hkl 2 0 0; d 1.923, 47.3 deg, I 13, hkl 2 0 2; d 1.656, 55.5 deg, I 15, hkl 1 1 5; d 1.651, 55.7 deg, I 10, hkl 2 0 4

Structural model:
Cell: 4.0982 3.0970 11.1531 Å, 90.00 90.00 90.00°
Space group Amm2 (No. 38)
Inequivalent atoms, fractional coordinates:
Ca1 0.0000 0.0000 0.0000 x2
Be1 0.5000 0.0000 0.3740 x2
Re1 0.0000 0.0000 0.2584 x2
Re2 0.5000 0.0000 0.7133 x2



[10]
# Ca2BeRh
Simulated X-ray powder pattern, Cu Kα (λ = 1.5418 Å). Input: the PBE geometry in Alexandria.

Principal peaks in the range 2θ from 10° to 80°, in order of rising 2θ:
d 5.491, 16.1 deg, I 61, hkl 0 0 2; d 4.169, 21.3 deg, I 22, hkl 0 1 1; d 3.500, 25.5 deg, I 44, hkl 1 0 1; d 2.856, 31.3 deg, I 25, hkl 1 1 0; d 2.841, 31.5 deg, I 65, hkl 0 1 3; d 2.534, 35.4 deg, I 100, hkl 1 1 2; d 2.253, 40.0 deg, I 24, hkl 0 2 0; d 1.888, 48.2 deg, I 25, hkl 1 0 5; d 1.548, 59.7 deg, I 19, hkl 2 1 3; d 1.447, 64.4 deg, I 20, hkl 1 2 5

Structural model:
Cell: 3.6920 4.5063 10.9824 Å, 90.00 90.00 90.00°
Space group Imm2 (No. 44)
Inequivalent atoms, fractional coordinates:
Ca1 0.0000 0.0000 0.0000 x2
Ca2 0.0000 0.5000 0.2280 x2
Be1 0.0000 0.0000 0.4228 x2
Rh1 0.0000 0.5000 0.8198 x2



[11]
# Ca2BeRh
Simulated X-ray powder pattern, Cu Kα (λ = 1.5418 Å). Input: the PBE geometry in Alexandria.

Principal peaks in the range 2θ from 10° to 80°, in order of rising 2θ:
d 7.494, 11.8 deg, I 100, hkl 0 0 3; d 3.358, 26.5 deg, I 31, hkl 1 0 1; d 3.251, 27.4 deg, I 28, hkl 0 1 2; d 2.907, 30.8 deg, I 51, hkl 1 0 4; d 2.710, 33.1 deg, I 57, hkl 0 1 5; d 2.334, 38.6 deg, I 31, hkl 1 0 7; d 1.961, 46.3 deg, I 32, hkl 1 1 0; d 1.897, 48.0 deg, I 17, hkl 1 1 3; d 1.542, 60.0 deg, I 17, hkl 1 1 9; d 1.355, 69.4 deg, I 19, hkl 1 1 12

Structural model:
Cell: 3.9216 3.9216 22.4823 Å, 90.00 90.00 120.00°
Space group R3m (No. 160, hexagonal axes)
Inequivalent atoms, fractional coordinates:
Ca1 0.0000 0.0000 0.0000 x3
Ca2 0.0000 0.0000 0.1760 x3
Be1 0.0000 0.0000 0.4213 x3
Rh1 0.0000 0.0000 0.7548 x3



[12]
# Ca2BeTcRh
Simulated X-ray powder pattern, Cu Kα (λ = 1.5418 Å). Input: the PBE geometry in Alexandria.

Principal peaks in the range 2θ from 10° to 80°, in order of rising 2θ:
d 4.155, 21.4 deg, I 12, hkl 0 0 1; d 3.606, 24.7 deg, I 21, hkl 1 1 0; d 2.724, 32.9 deg, I 100, hkl 1 1 1; d 2.550, 35.2 deg, I 45, hkl 2 0 0; d 2.078, 43.6 deg, I 12, hkl 0 0 2; d 1.802, 50.6 deg, I 21, hkl 2 2 0; d 1.611, 57.2 deg, I 25, hkl 2 0 2; d 1.503, 61.7 deg, I 30, hkl 3 1 1; d 1.362, 69.0 deg, I 12, hkl 2 2 2; d 1.293, 73.2 deg, I 9, hkl 1 1 3

Structural model:
Cell: 5.1000 5.1000 4.1553 Å, 90.00 90.00 90.00°
Space group P4/mmm (No. 123)
Inequivalent atoms, fractional coordinates:
Ca1 0.0000 0.5000 0.0000 x2
Be1 0.0000 0.0000 0.0000 x1
Tc1 0.0000 0.0000 0.5000 x1
Rh1 0.5000 0.5000 0.5000 x1



What did the second record say?
# RbCaBeSiPdSe
Simulated X-ray powder pattern, Cu Kα (λ = 1.5418 Å). Input: the PBE geometry in Alexandria.

Principal peaks in the range 2θ from 10° to 80°, in order of rising 2θ:
d 4.986, 17.8 deg, I 20, hkl 0 0 2; d 3.408, 26.1 deg, I 100, hkl 1 1 1; d 3.324, 26.8 deg, I 29, hkl 0 0 3; d 2.942, 30.4 deg, I 34, hkl 1 1 -2; d 2.928, 30.5 deg, I 18, hkl 1 1 2; d 2.458, 36.6 deg, I 17, hkl 1 1 -3; d 2.098, 43.1 deg, I 17, hkl 0 2 0; d 2.091, 43.3 deg, I 34, hkl 3 1 0; d 2.060, 43.9 deg, I 13, hkl 1 1 -4; d 1.776, 51.5 deg, I 23, hkl 4 0 1

Structural model:
Cell: 7.2369 4.1966 9.9719 Å, 90.00 90.57 90.00°
Space group Cm (No. 8)
Inequivalent atoms, fractional coordinates:
Rb1 0.0000 0.0000 0.0000 x2
Ca1 0.3374 0.0000 0.3782 x2
Be1 0.9998 0.0000 0.6616 x2
Si1 0.1659 0.5000 0.6733 x2
Pd1 0.3333 0.0000 0.6751 x2
Se1 0.1697 0.5000 0.2345 x2